# TbSmPd6
Computed powder X-ray diffraction pattern, λ = 1.5418 Å (Cu Kα). Input: a DFT-relaxed cell (GGA-PBE, Alexandria).
Kinematic intensities with the Lorentz-polarization factor, no thermal factor.

The 10 most intense peaks (10° ≤ 2θ ≤ 90°), by angle:
(hkl)	two_theta	intensity
0 0 2	21.39	3
1 1 0	30.43	2
1 1 2	37.50	100
2 0 0	43.58	49
2 0 2	49.04	1
1 1 4	54.08	1
2 2 0	63.33	32
0 0 6	67.66	1
3 1 2	75.98	37
2 2 4	80.02	11

Structure:
```
data_TbSmPd6
_chemical_formula_sum 'Tb1 Sm1 Pd6'
_cell_length_a 4.1556
_cell_length_b 4.1556
_cell_length_c 8.3015
_cell_angle_alpha 90.00
_cell_angle_beta 90.00
_cell_angle_gamma 90.00
_space_group_name_H-M_alt 'P 4/m m m'
_space_group_IT_number 123
_space_group_name_Hall '-P 4 2'
loop_
_atom_site_label
_atom_site_fract_x
_atom_site_fract_y
_atom_site_fract_z
Tb1 0.0000 0.0000 0.0000
Sm1 0.0000 0.0000 0.5000
Pd1 0.0000 0.5000 0.2468
Pd2 0.5000 0.5000 0.0000
Pd3 0.5000 0.5000 0.5000
```

=====

# Cu2P7
Computed powder X-ray diffraction pattern, λ = 1.5418 Å (Cu Kα). Input: a DFT-relaxed cell (GGA-PBE, Alexandria).
Kinematic intensities with the Lorentz-polarization factor, no thermal factor.

The 10 most intense peaks (10° ≤ 2θ ≤ 90°), by angle:
(hkl)	two_theta	intensity
1 1 3	25.51	17
4 0 -1	28.16	14
2 2 -2	29.41	100
2 0 -5	30.82	12
0 0 5	31.91	44
4 0 1	32.02	37
0 4 0	49.99	18
2 2 -7	50.11	42
6 2 -1	50.25	30
6 2 -6	56.32	15

Structure:
```
data_Cu2P7
_chemical_formula_sum 'Cu16 P56'
_cell_length_a 12.7290
_cell_length_b 7.2985
_cell_length_c 14.7081
_cell_angle_alpha 90.00
_cell_angle_beta 107.60
_cell_angle_gamma 90.00
_space_group_name_H-M_alt 'C 1 2/m 1'
_space_group_IT_number 12
loop_
_space_group_symop_operation_xyz
'x,y,z'
'-x,-y,-z'
'-x,y,-z'
'x,-y,z'
'x+1/2,y+1/2,z'
'-x+1/2,-y+1/2,-z'
'-x+1/2,y+1/2,-z'
'x+1/2,-y+1/2,z'
loop_
_atom_site_label
_atom_site_fract_x
_atom_site_fract_y
_atom_site_fract_z
Cu1 0.0343 0.0000 0.3544
Cu2 0.1170 0.5000 0.7938
Cu3 0.1566 0.0000 0.9666
Cu4 0.2179 0.5000 0.4267
P1 0.0188 0.2540 0.5784
P2 0.0276 0.5000 0.3550
P3 0.0924 0.2652 0.0184
P4 0.1050 0.0000 0.7959
P5 0.1191 0.3435 0.1699
P6 0.1533 0.5000 0.9562
P7 0.2014 0.2424 0.6227
P8 0.2053 0.2346 0.7762
P9 0.2241 0.0000 0.4072
```

=====

# K3CdHg3
Computed powder X-ray diffraction pattern, λ = 1.5418 Å (Cu Kα). Input: a DFT-relaxed cell (GGA-PBE, Alexandria).
Kinematic intensities with the Lorentz-polarization factor, no thermal factor.

The 10 most intense peaks (10° ≤ 2θ ≤ 90°), by angle:
(hkl)	two_theta	intensity
2 0 0	18.56	40
2 1 0	20.77	94
2 1 1	22.78	100
2 2 2	32.44	40
3 2 0	33.80	30
3 2 1	35.12	66
4 0 0	37.63	38
4 2 1	43.36	31
5 2 0	51.46	29
4 4 0	54.27	26

Structure:
```
data_K3CdHg3
_chemical_formula_sum 'K6 Cd2 Hg6'
_cell_length_a 9.5620
_cell_length_b 9.5620
_cell_length_c 9.5620
_cell_angle_alpha 90.00
_cell_angle_beta 90.00
_cell_angle_gamma 90.00
_space_group_name_H-M_alt 'P m -3 n'
_space_group_IT_number 223
_space_group_name_Hall '-P 4n 2 3'
loop_
_atom_site_label
_atom_site_fract_x
_atom_site_fract_y
_atom_site_fract_z
K1 0.0000 0.2500 0.5000
Cd1 0.0000 0.0000 0.0000
Hg1 0.0000 0.5000 0.2500
```

=====

# ScPt6
Computed powder X-ray diffraction pattern, λ = 1.5418 Å (Cu Kα). Input: a DFT-relaxed cell (GGA-PBE, Alexandria).
Kinematic intensities with the Lorentz-polarization factor, no thermal factor.

The 10 most intense peaks (10° ≤ 2θ ≤ 90°), by angle:
(hkl)	two_theta	intensity
1 1 0	17.91	100
2 0 0	25.44	36
2 1 1	31.29	85
2 2 0	36.29	18
3 1 0	40.75	26
2 2 2	44.84	71
3 2 1	48.65	50
4 0 0	52.26	40
5 1 0	68.30	18
4 4 0	77.04	26

Structure:
```
data_ScPt6
_chemical_formula_sum 'Sc2 Pt12'
_cell_length_a 7.0023
_cell_length_b 7.0023
_cell_length_c 7.0023
_cell_angle_alpha 90.00
_cell_angle_beta 90.00
_cell_angle_gamma 90.00
_space_group_name_H-M_alt 'I m -3 m'
_space_group_IT_number 229
_space_group_name_Hall '-I 4 2 3'
loop_
_atom_site_label
_atom_site_fract_x
_atom_site_fract_y
_atom_site_fract_z
Sc1 0.0000 0.0000 0.0000
Pt1 0.0000 0.2500 0.5000
```